For RbMg3V4O12, a crystal structure in Alexandria, relaxed with GGA+U gives the theoretical powder X-ray diffraction pattern in this record (Cu Kα).

Main lines, by angle (10 to 80 degrees two-theta):
2θ (°)	Rel. int.
26.94	42
27.17	47
31.20	60
32.03	100
35.18	33
35.75	22
53.51	28
57.61	22
58.00	41
72.22	22

Cell and atoms:
Unit cell a=6.9933 b=6.9933 c=6.9933 alpha=110.14 beta=110.14 gamma=110.14
Fractional positions:
Rb 0.0000 0.0000 0.0000
Mg 0.0000 0.5656 0.4344
Mg 0.4344 0.0000 0.5656
Mg 0.5656 0.4344 0.0000
V 0.0675 0.5000 0.9325
V 0.5000 0.5000 0.5000
V 0.5000 0.9325 0.0675
V 0.9325 0.0675 0.5000
O 0.0855 0.9145 0.5000
O 0.1233 0.6604 0.7833
O 0.2167 0.3396 0.8767
O 0.3396 0.8767 0.2167
O 0.3485 0.6515 0.5000
O 0.5000 0.0855 0.9145
O 0.5000 0.3485 0.6515
O 0.6515 0.5000 0.3485
O 0.6604 0.7833 0.1233
O 0.7833 0.1233 0.6604
O 0.8767 0.2167 0.3396
O 0.9145 0.5000 0.0855